The following is a theoretical powder diffraction line list of EuGaAu. It was derived from a cell relaxed with PBE, using Cu Kα (λ = 1.5418 Å).
Peak positions follow from Bragg's law for the DFT cell and can differ from measured ones.

Most intense lines, 5 to 70 degrees two-theta, by angle:
| two_theta | I_rel |
| --- | --- |
| 31.3 | 60 |
| 31.8 | 51 |
| 32.0 | 34 |
| 32.8 | 100 |
| 38.4 | 59 |
| 39.0 | 89 |

```
data_EuGaAu
_chemical_formula_sum 'Eu4 Ga4 Au4'
_space_group_name_H-M_alt 'C 1 2/m 1'
_space_group_IT_number 12
_cell_length_a 10.7165
_cell_length_b 4.6912
_cell_length_c 7.5800
_cell_angle_alpha 90.00
_cell_angle_beta 132.07
_cell_angle_gamma 90.00
loop_
_space_group_symop_operation_xyz
'x,y,z'
'-x,-y,-z'
'-x,y,-z'
'x,-y,z'
'x+1/2,y+1/2,z'
'-x+1/2,-y+1/2,-z'
'-x+1/2,y+1/2,-z'
'x+1/2,-y+1/2,z'
loop_
_atom_site_label
_atom_site_type_symbol
_atom_site_fract_x
_atom_site_fract_y
_atom_site_fract_z
Eu1 Eu 0.0412 0.0000 0.2962
Ga1 Ga 0.1646 0.5000 0.1118
Au1 Au 0.1770 0.5000 0.7273
```

The following is a theoretical powder diffraction line list of ErTl. It was derived from a cell relaxed with PBE, using Cu Kα (λ = 1.5418 Å).
Peak positions follow from Bragg's law for the DFT cell and can differ from measured ones.

Most intense lines, 5 to 70 degrees two-theta, by angle:
| two_theta | I_rel |
| --- | --- |
| 23.6 | 1 |
| 33.6 | 100 |
| 48.2 | 18 |
| 60.0 | 38 |

```
data_ErTl
_chemical_formula_sum 'Er1 Tl1'
_space_group_name_H-M_alt 'P m -3 m'
_space_group_IT_number 221
_space_group_name_Hall '-P 4 2 3'
_cell_length_a 3.7752
_cell_length_b 3.7752
_cell_length_c 3.7752
_cell_angle_alpha 90.00
_cell_angle_beta 90.00
_cell_angle_gamma 90.00
loop_
_atom_site_label
_atom_site_type_symbol
_atom_site_fract_x
_atom_site_fract_y
_atom_site_fract_z
Er1 Er 0.0000 0.0000 0.0000
Tl1 Tl 0.5000 0.5000 0.5000
```

The following is a theoretical powder diffraction line list of HoU2S3O2. It was derived from a cell relaxed with PBE, using Cu Kα (λ = 1.5418 Å).
Peak positions follow from Bragg's law for the DFT cell and can differ from measured ones.

Most intense lines, 5 to 70 degrees two-theta, by angle:
| two_theta | I_rel |
| --- | --- |
| 8.3 | 32 |
| 25.2 | 29 |
| 26.6 | 100 |
| 33.4 | 53 |
| 42.3 | 39 |
| 55.6 | 29 |

```
data_HoU2S3O2
_chemical_formula_sum 'Ho2 U4 S6 O4'
_space_group_name_H-M_alt 'I 4/m m m'
_space_group_IT_number 139
_space_group_name_Hall '-I 4 2'
_cell_length_a 3.7986
_cell_length_b 3.7986
_cell_length_c 21.1945
_cell_angle_alpha 90.00
_cell_angle_beta 90.00
_cell_angle_gamma 90.00
loop_
_atom_site_label
_atom_site_type_symbol
_atom_site_fract_x
_atom_site_fract_y
_atom_site_fract_z
Ho1 Ho 0.0000 0.0000 0.0000
U1 U 0.0000 0.0000 0.3135
S1 S 0.0000 0.0000 0.1285
S2 S 0.0000 0.0000 0.5000
O1 O 0.0000 0.5000 0.2500
```

The following is a theoretical powder diffraction line list of CuBClO4. It was derived from a cell relaxed with PBE, using Cu Kα (λ = 1.5418 Å).
Peak positions follow from Bragg's law for the DFT cell and can differ from measured ones.

Most intense lines, 5 to 70 degrees two-theta, by angle:
| two_theta | I_rel |
| --- | --- |
| 15.7 | 92 |
| 22.4 | 48 |
| 22.5 | 87 |
| 32.1 | 77 |
| 35.7 | 100 |
| 51.8 | 60 |

```
data_CuBClO4
_chemical_formula_sum 'Cu2 B2 Cl2 O8'
_space_group_name_H-M_alt 'P 4/n'
_space_group_IT_number 85
_cell_length_a 5.5776
_cell_length_b 5.5776
_cell_length_c 5.6298
_cell_angle_alpha 90.00
_cell_angle_beta 90.00
_cell_angle_gamma 90.00
loop_
_space_group_symop_operation_xyz
'x,y,z'
'-x,-y,-z'
'-y+1/2,x,z'
'y+1/2,-x,-z'
'-x+1/2,-y+1/2,z'
'x+1/2,y+1/2,-z'
'y,-x+1/2,z'
'-y,x+1/2,-z'
loop_
_atom_site_label
_atom_site_type_symbol
_atom_site_fract_x
_atom_site_fract_y
_atom_site_fract_z
Cu1 Cu 0.2500 0.2500 0.1624
B1 B 0.2500 0.7500 0.0000
Cl1 Cl 0.2500 0.2500 0.6875
O1 O 0.0681 0.8385 0.8331
```

The following is a theoretical powder diffraction line list of MgO2. It was derived from a cell relaxed with PBE, using Cu Kα (λ = 1.5418 Å).
Peak positions follow from Bragg's law for the DFT cell and can differ from measured ones.

Most intense lines, 5 to 70 degrees two-theta, by angle:
| two_theta | I_rel |
| --- | --- |
| 13.3 | 59 |
| 19.5 | 100 |
| 30.9 | 68 |
| 31.7 | 60 |
| 36.7 | 60 |
| 43.4 | 80 |

```
data_MgO2
_chemical_formula_sum 'Mg4 O8'
_space_group_name_H-M_alt 'P 1'
_space_group_IT_number 1
_cell_length_a 3.2442
_cell_length_b 6.3540
_cell_length_c 6.8360
_cell_angle_alpha 88.40
_cell_angle_beta 77.55
_cell_angle_gamma 88.91
loop_
_space_group_symop_operation_xyz
'x,y,z'
loop_
_atom_site_label
_atom_site_type_symbol
_atom_site_fract_x
_atom_site_fract_y
_atom_site_fract_z
Mg1 Mg 0.0000 0.0000 0.0000
Mg2 Mg 0.1466 0.3515 0.5025
Mg3 Mg 0.4260 0.8096 0.6166
Mg4 Mg 0.7241 0.5421 0.8857
O1 O 0.2033 0.7122 0.9250
O2 O 0.3696 0.0460 0.3963
O3 O 0.4149 0.9976 0.2024
O4 O 0.5592 0.0634 0.7924
O5 O 0.5863 0.2888 0.7101
O6 O 0.7322 0.3536 0.3001
O7 O 0.7787 0.3056 0.1060
O8 O 0.9467 0.6397 0.5775
```

The following is a theoretical powder diffraction line list of Ca7SeN6. It was derived from a cell relaxed with PBE, using Cu Kα (λ = 1.5418 Å).
Peak positions follow from Bragg's law for the DFT cell and can differ from measured ones.

Most intense lines, 5 to 70 degrees two-theta, by angle:
| two_theta | I_rel |
| --- | --- |
| 21.2 | 37 |
| 31.4 | 25 |
| 32.2 | 100 |
| 33.5 | 47 |
| 34.8 | 30 |
| 52.3 | 24 |

```
data_Ca7SeN6
_chemical_formula_sum 'Ca28 Se4 N24'
_space_group_name_H-M_alt 'P b c n'
_space_group_IT_number 60
_cell_length_a 12.1308
_cell_length_b 6.3898
_cell_length_c 12.5240
_cell_angle_alpha 90.00
_cell_angle_beta 90.00
_cell_angle_gamma 90.00
loop_
_space_group_symop_operation_xyz
'x,y,z'
'-x,-y,-z'
'-x+1/2,-y+1/2,z+1/2'
'x+1/2,y+1/2,-z+1/2'
'x+1/2,-y+1/2,-z'
'-x+1/2,y+1/2,z'
'-x,y,-z+1/2'
'x,-y,z+1/2'
loop_
_atom_site_label
_atom_site_type_symbol
_atom_site_fract_x
_atom_site_fract_y
_atom_site_fract_z
Ca1 Ca 0.0000 0.0653 0.2500
Ca2 Ca 0.0604 0.2065 0.5012
Ca3 Ca 0.1959 0.3411 0.8867
Ca4 Ca 0.2204 0.3906 0.1537
Se1 Se 0.0000 0.4501 0.7500
N1 N 0.1062 0.2764 0.6966
N2 N 0.1319 0.1437 0.0372
N3 N 0.1405 0.3010 0.3335
```

The following is a theoretical powder diffraction line list of Sm2Fe17B3. It was derived from a cell relaxed with PBE, using Cu Kα (λ = 1.5418 Å).
Peak positions follow from Bragg's law for the DFT cell and can differ from measured ones.

Most intense lines, 5 to 70 degrees two-theta, by angle:
| two_theta | I_rel |
| --- | --- |
| 29.5 | 44 |
| 35.4 | 39 |
| 37.2 | 28 |
| 41.1 | 79 |
| 41.7 | 100 |
| 43.4 | 36 |

```
data_Sm2Fe17B3
_chemical_formula_sum 'Sm6 Fe51 B9'
_space_group_name_H-M_alt 'R -3 m'
_space_group_IT_number 166
_space_group_name_Hall '-R 3 2"'
_cell_length_a 8.7889
_cell_length_b 8.7889
_cell_length_c 12.5071
_cell_angle_alpha 90.00
_cell_angle_beta 90.00
_cell_angle_gamma 120.00
loop_
_atom_site_label
_atom_site_type_symbol
_atom_site_fract_x
_atom_site_fract_y
_atom_site_fract_z
Sm1 Sm 0.0000 0.0000 0.1572
Fe1 Fe 0.0000 0.0000 0.4050
Fe2 Fe 0.0000 0.2795 0.5000
Fe3 Fe 0.0000 0.5000 0.0000
Fe4 Fe 0.0081 0.5040 0.3424
B1 B 0.0000 0.5000 0.5000
```